No. 1
This entry pairs a crystal structure of Ga3Ag with its computed powder diffraction line list. Radiation: Cu Kα (weighted mean of Kα1 and Kα2). Structure: a structure optimized by DFT (PBE).
Lines closer than 0.1° are merged.

Principal peaks in the range 5° ≤ 2θ ≤ 70°, most intense first:
- d = 2.430 Å, I 100
- d = 2.099 Å, I 32
- d = 1.490 Å, I 21
- d = 2.116 Å, I 17
- d = 1.484 Å, I 10
- d = 3.761 Å, I 4

Cell and atoms:
```
Ga3Ag
1.0
-2.099 2.099 4.232
2.099 -2.099 4.232
2.099 2.099 -4.232
Ga Ag
3 1
Direct
0.000 0.000 0.000
0.250 0.750 0.500
0.750 0.250 0.500
0.500 0.500 0.000
```

No. 2
This entry pairs a crystal structure of Rb8Zr6BBr20 with its computed powder diffraction line list. Radiation: Cu Kα (weighted mean of Kα1 and Kα2). Structure: a structure optimized by DFT (PBE).
Lines closer than 0.1° are merged.

Principal peaks in the range 5° ≤ 2θ ≤ 70°, most intense first:
- d = 2.848 Å, I 100
- d = 3.289 Å, I 84
- d = 2.014 Å, I 59
- d = 9.866 Å, I 48
- d = 2.888 Å, I 46
- d = 8.544 Å, I 32

Cell and atoms:
```
Rb8Zr6BBr20
1.0
0.000 8.544 8.544
8.544 0.000 8.544
8.544 8.544 0.000
Rb Zr B Br
8 6 1 20
Direct
0.139 0.139 0.139
0.139 0.139 0.583
0.139 0.583 0.139
0.417 0.861 0.861
0.583 0.139 0.139
0.861 0.417 0.861
0.861 0.861 0.417
0.861 0.861 0.861
0.364 0.364 0.636
0.364 0.636 0.364
0.364 0.636 0.636
0.636 0.364 0.364
0.636 0.364 0.636
0.636 0.636 0.364
0.500 0.500 0.500
0.182 0.500 0.500
0.182 0.500 0.818
0.182 0.818 0.500
0.191 0.191 0.809
0.191 0.809 0.191
0.191 0.809 0.809
0.250 0.250 0.250
0.500 0.182 0.500
0.500 0.182 0.818
0.500 0.500 0.182
0.500 0.500 0.818
0.500 0.818 0.182
0.500 0.818 0.500
0.750 0.750 0.750
0.809 0.191 0.191
0.809 0.191 0.809
0.809 0.809 0.191
0.818 0.182 0.500
0.818 0.500 0.182
0.818 0.500 0.500
```

No. 3
This entry pairs a crystal structure of SrEuNb4O12 with its computed powder diffraction line list. Radiation: Cu Kα (weighted mean of Kα1 and Kα2). Structure: a structure optimized by DFT (PBE).
Lines closer than 0.1° are merged.

Principal peaks in the range 5° ≤ 2θ ≤ 70°, most intense first:
- d = 2.823 Å, I 100
- d = 4.617 Å, I 63
- d = 2.836 Å, I 48
- d = 1.635 Å, I 41
- d = 2.005 Å, I 37
- d = 2.416 Å, I 24

Cell and atoms:
```
SrEuNb4O12
1.0
8.016 0.000 0.000
0.000 3.975 4.013
0.000 -3.975 4.013
Sr Eu Nb O
1 1 4 12
Direct
0.000 0.000 0.000
0.500 0.482 0.482
0.250 0.492 0.989
0.250 0.989 0.492
0.750 0.492 0.989
0.750 0.989 0.492
0.000 0.015 0.457
0.000 0.457 0.015
0.219 0.772 0.772
0.254 0.272 0.710
0.254 0.710 0.272
0.280 0.217 0.217
0.500 0.521 0.959
0.500 0.959 0.521
0.720 0.217 0.217
0.746 0.272 0.710
0.746 0.710 0.272
0.781 0.772 0.772
```